(1)
Starting from a structure optimized by DFT (PBE+U), the powder diffraction line list of Li2FeO2F was simulated for Cu Ka.

Largest 6 diffraction maxima, sorted by position, 15° ≤ 2θ ≤ 90°:
2theta	I_rel
18.48	1000
20.24	209
23.62	261
43.42	802
43.90	398
63.35	209

a = 5.0573 Å, b = 5.0934 Å, c = 9.7460 Å
α = 95.27°, β = 94.57°, γ = 119.64°
Space group P1 (No. 1)
Inequivalent atoms, fractional coordinates:
Li (0.0000, 0.0000, 0.0000) [1 per cell]
Li (0.0639, 0.3607, 0.2510) [1 per cell]
Li (0.2178, 0.1903, 0.7496) [1 per cell]
Li (0.4172, 0.1003, 0.2545) [1 per cell]
Li (0.5001, 0.4612, 0.5024) [1 per cell]
Li (0.5869, 0.9091, 0.7438) [1 per cell]
Li (0.7340, 0.7309, 0.2450) [1 per cell]
Li (0.9103, 0.5673, 0.7513) [1 per cell]
Fe (0.1374, 0.8162, 0.4961) [1 per cell]
Fe (0.3171, 0.6382, 0.9984) [1 per cell]
Fe (0.6323, 0.2664, 0.9985) [1 per cell]
Fe (0.8168, 0.1401, 0.4974) [1 per cell]
O (0.0914, 0.0871, 0.3839) [1 per cell]
O (0.2862, 0.9187, 0.8814) [1 per cell]
O (0.3780, 0.3740, 0.1117) [1 per cell]
O (0.5165, 0.1448, 0.6058) [1 per cell]
O (0.6657, 0.9945, 0.1149) [1 per cell]
O (0.8090, 0.4367, 0.3881) [1 per cell]
O (0.8675, 0.8640, 0.6107) [1 per cell]
O (0.9573, 0.3002, 0.8868) [1 per cell]
F (0.0219, 0.6785, 0.1236) [1 per cell]
F (0.1895, 0.5232, 0.6211) [1 per cell]
F (0.4301, 0.7685, 0.3720) [1 per cell]
F (0.6028, 0.5885, 0.8669) [1 per cell]

---

(2)
Starting from a structure optimized by DFT (PBE+U), the powder diffraction line list of Li2Fe2OF4 was simulated for Cu Ka.

Largest 6 diffraction maxima, sorted by position, 15° ≤ 2θ ≤ 90°:
2theta	I_rel
22.75	1000
33.58	351
39.97	351
41.02	823
42.32	351
42.92	566

a = 3.0255 Å, b = 9.9411 Å, c = 12.6562 Å
α = 90.00°, β = 90.00°, γ = 90.00°
Space group Cmc2_1 (No. 36)
Inequivalent atoms, fractional coordinates:
Li (0.0000, 0.0042, 0.0000) [4 per cell]
Li (0.0000, 0.2708, 0.8896) [4 per cell]
Fe (0.0000, 0.2583, 0.6177) [4 per cell]
Fe (0.0000, 0.4610, 0.2688) [4 per cell]
O (0.0000, 0.1674, 0.7548) [4 per cell]
F (0.0000, 0.0816, 0.3571) [4 per cell]
F (0.0000, 0.0876, 0.1457) [4 per cell]
F (0.0000, 0.3525, 0.4678) [4 per cell]
F (0.0000, 0.3654, 0.0377) [4 per cell]

---

(3)
Starting from a structure optimized by DFT (PBE+U), the powder diffraction line list of LiFe7O7F was simulated for Cu Ka.

Largest 6 diffraction maxima, sorted by position, 15° ≤ 2θ ≤ 90°:
2theta	I_rel
28.65	1000
35.81	807
42.84	387
50.74	672
52.35	309
68.52	467

a = 16.8887 Å, b = 3.5964 Å, c = 6.2362 Å
α = 90.00°, β = 90.00°, γ = 90.00°
Space group Amm2 (No. 38)
Inequivalent atoms, fractional coordinates:
Li (0.0000, 0.0000, 0.0000) [2 per cell]
Fe (0.1261, 0.0000, 0.3300) [4 per cell]
Fe (0.2463, 0.0000, 0.0077) [4 per cell]
Fe (0.3721, 0.0000, 0.3321) [4 per cell]
Fe (0.5000, 0.0000, 0.9972) [2 per cell]
O (0.1227, 0.0000, 0.0018) [4 per cell]
O (0.2483, 0.0000, 0.3385) [4 per cell]
O (0.3705, 0.0000, 0.0000) [4 per cell]
O (0.5000, 0.0000, 0.3421) [2 per cell]
F (0.0000, 0.0000, 0.3368) [2 per cell]

---

(4)
Starting from a structure optimized by DFT (PBE+U), the powder diffraction line list of Li2Fe4O3F8 was simulated for Cu Ka.

Largest 6 diffraction maxima, sorted by position, 15° ≤ 2θ ≤ 90°:
2theta	I_rel
16.17	1000
23.77	991
26.76	779
41.58	777
43.19	670
43.58	619

a = 5.0706 Å, b = 6.6206 Å, c = 6.9340 Å
α = 108.58°, β = 104.66°, γ = 97.04°
Space group P-1 (No. 2)
Inequivalent atoms, fractional coordinates:
Li (0.1766, 0.1790, 0.3989) [2 per cell]
Fe (0.1482, 0.6194, 0.2369) [2 per cell]
Fe (0.4062, 0.2483, 0.9691) [2 per cell]
O (0.2381, 0.5285, 0.9516) [2 per cell]
O (0.5000, 0.0000, 0.0000) [1 per cell]
F (0.0125, 0.8860, 0.2003) [2 per cell]
F (0.1140, 0.7102, 0.5124) [2 per cell]
F (0.2965, 0.3537, 0.2494) [2 per cell]
F (0.4532, 0.2052, 0.6655) [2 per cell]

---

(5)
Starting from a structure optimized by DFT (PBE+U), the powder diffraction line list of LiFe8O12F4 was simulated for Cu Ka.

Largest 6 diffraction maxima, sorted by position, 15° ≤ 2θ ≤ 90°:
2theta	I_rel
21.94	1000
28.35	707
35.02	280
35.26	324
47.99	182
54.78	180

a = 5.9538 Å, b = 6.2963 Å, c = 8.5974 Å
α = 90.00°, β = 109.55°, γ = 90.00°
Space group Pm (No. 6)
Inequivalent atoms, fractional coordinates:
Li (0.0000, 0.0000, 0.0000) [1 per cell]
Fe (0.0577, 0.0000, 0.7022) [1 per cell]
Fe (0.1394, 0.0000, 0.3315) [1 per cell]
Fe (0.3403, 0.5000, 0.7728) [1 per cell]
Fe (0.3805, 0.5000, 0.3232) [1 per cell]
Fe (0.5792, 0.0000, 0.7574) [1 per cell]
Fe (0.6200, 0.0000, 0.2990) [1 per cell]
Fe (0.8430, 0.5000, 0.7797) [1 per cell]
Fe (0.9023, 0.5000, 0.3752) [1 per cell]
O (0.0130, 0.5000, 0.6178) [1 per cell]
O (0.1269, 0.3093, 0.3247) [2 per cell]
O (0.2947, 0.0000, 0.1723) [1 per cell]
O (0.3318, 0.1925, 0.7620) [2 per cell]
O (0.6290, 0.3092, 0.3145) [2 per cell]
O (0.6500, 0.5000, 0.9132) [1 per cell]
O (0.8521, 0.1855, 0.7891) [2 per cell]
O (0.9415, 0.0000, 0.4692) [1 per cell]
F (0.1755, 0.5000, 0.9461) [1 per cell]
F (0.4752, 0.0000, 0.5006) [1 per cell]
F (0.5128, 0.5000, 0.5907) [1 per cell]
F (0.8034, 0.0000, 0.1357) [1 per cell]

---

(6)
Starting from a structure optimized by DFT (PBE+U), the powder diffraction line list of Li6FeO5F was simulated for Cu Ka.

Largest 6 diffraction maxima, sorted by position, 15° ≤ 2θ ≤ 90°:
2theta	I_rel
17.99	402
18.46	1000
24.91	537
25.01	389
25.21	678
33.98	494

a = 5.5048 Å, b = 5.6385 Å, c = 10.5563 Å
α = 88.82°, β = 90.00°, γ = 60.99°
Space group P1 (No. 1)
Inequivalent atoms, fractional coordinates:
Li (0.0000, 0.0000, 0.0000) [1 per cell]
Li (0.0013, 0.0568, 0.3720) [1 per cell]
Li (0.0169, 0.3985, 0.4866) [1 per cell]
Li (0.2451, 0.3982, 0.9975) [1 per cell]
Li (0.2978, 0.0046, 0.6643) [1 per cell]
Li (0.3195, 0.0260, 0.1640) [1 per cell]
Li (0.3625, 0.6417, 0.4868) [1 per cell]
Li (0.6011, 0.0589, 0.8694) [1 per cell]
Li (0.6296, 0.3628, 0.1683) [1 per cell]
Li (0.6444, 0.6547, 0.9715) [1 per cell]
Li (0.6594, 0.3349, 0.6615) [1 per cell]
Li (0.6651, 0.9967, 0.4970) [1 per cell]
Fe (0.9698, 0.6949, 0.2338) [1 per cell]
Fe (0.9861, 0.6749, 0.7336) [1 per cell]
O (0.0087, 0.7095, 0.4038) [1 per cell]
O (0.2623, 0.3881, 0.1836) [1 per cell]
O (0.3030, 0.6530, 0.6796) [1 per cell]
O (0.3325, 0.0198, 0.9690) [1 per cell]
O (0.6619, 0.9804, 0.6905) [1 per cell]
O (0.6782, 0.6935, 0.1559) [1 per cell]
O (0.7118, 0.3205, 0.4721) [1 per cell]
O (0.9578, 0.7164, 0.9036) [1 per cell]
O (0.9659, 0.0138, 0.1922) [1 per cell]
O (0.9883, 0.3815, 0.6672) [1 per cell]
F (0.3193, 0.0103, 0.4645) [1 per cell]
F (0.6362, 0.3244, 0.9648) [1 per cell]

---

(7)
Starting from a structure optimized by DFT (PBE+U), the powder diffraction line list of LiFe8O14F2 was simulated for Cu Ka.

Largest 6 diffraction maxima, sorted by position, 15° ≤ 2θ ≤ 90°:
2theta	I_rel
26.45	1000
27.15	953
35.94	435
36.13	251
36.23	259
67.07	214

a = 5.5092 Å, b = 7.1890 Å, c = 7.3476 Å
α = 81.81°, β = 70.39°, γ = 71.66°
Space group P1 (No. 1)
Inequivalent atoms, fractional coordinates:
Li (0.0000, 0.0000, 0.0000) [1 per cell]
Fe (0.2216, 0.6190, 0.6494) [1 per cell]
Fe (0.2394, 0.1316, 0.6184) [1 per cell]
Fe (0.2413, 0.6144, 0.1364) [1 per cell]
Fe (0.2760, 0.1252, 0.1557) [1 per cell]
Fe (0.7095, 0.8813, 0.8597) [1 per cell]
Fe (0.7239, 0.3874, 0.8718) [1 per cell]
Fe (0.7381, 0.3643, 0.3740) [1 per cell]
Fe (0.7634, 0.8749, 0.3819) [1 per cell]
O (0.0747, 0.9042, 0.7274) [1 per cell]
O (0.0906, 0.3856, 0.2205) [1 per cell]
O (0.0931, 0.7048, 0.4036) [1 per cell]
O (0.3696, 0.8742, 0.0451) [1 per cell]
O (0.3712, 0.5449, 0.8706) [1 per cell]
O (0.3854, 0.3534, 0.5470) [1 per cell]
O (0.4101, 0.0323, 0.3695) [1 per cell]
O (0.5789, 0.4601, 0.1430) [1 per cell]
O (0.5821, 0.9616, 0.6377) [1 per cell]
O (0.6105, 0.1416, 0.9663) [1 per cell]
O (0.8629, 0.6112, 0.8015) [1 per cell]
O (0.8839, 0.2901, 0.6166) [1 per cell]
O (0.8894, 0.7800, 0.1307) [1 per cell]
O (0.9124, 0.1035, 0.2776) [1 per cell]
F (0.0920, 0.2262, 0.8880) [1 per cell]
F (0.5882, 0.6371, 0.4708) [1 per cell]

---

(8)
Starting from a structure optimized by DFT (PBE+U), the powder diffraction line list of LiFe5O4F8 was simulated for Cu Ka.

Largest 6 diffraction maxima, sorted by position, 15° ≤ 2θ ≤ 90°:
2theta	I_rel
25.82	1000
27.69	996
35.14	846
51.82	673
53.93	599
67.10	494

a = 6.4432 Å, b = 6.9024 Å, c = 9.1197 Å
α = 90.00°, β = 90.00°, γ = 90.00°
Space group Cmmm (No. 65)
Inequivalent atoms, fractional coordinates:
Li (0.0000, 0.0000, 0.0000) [2 per cell]
Fe (0.0000, 0.0000, 0.3267) [4 per cell]
Fe (0.0000, 0.5000, 0.1796) [4 per cell]
Fe (0.0000, 0.5000, 0.5000) [2 per cell]
O (0.1988, 0.5000, 0.3375) [8 per cell]
F (0.0000, 0.1880, 0.5000) [4 per cell]
F (0.0000, 0.1994, 0.1671) [8 per cell]
F (0.1913, 0.5000, 0.0000) [4 per cell]